Diffraction record for Sr8In4Cu3N5. The X-ray powder pattern is theoretical, not measured: it uses a cell relaxed with GGA-PBE and Cu Kα.

Peak list (8 most intense, 15 to 90 degrees two-theta, by angle)
two_theta	I_rel
31.9	95.5
32.0	91.2
33.4	100.0
43.5	21.1
47.8	19.5
55.9	32.7
58.6	31.3
58.8	24.0

Cell and atoms:
Cell lengths 11.499, 11.499, 11.499 Å; angles 160.94, 114.28, 69.12 degrees
Atoms (fractional coordinates):
1 Sr 0.062 0.211 0.851
2 Sr 0.250 0.402 0.848
3 Sr 0.359 0.211 0.149
4 Sr 0.446 0.598 0.848
5 Sr 0.554 0.402 0.152
6 Sr 0.641 0.789 0.851
7 Sr 0.750 0.598 0.152
8 Sr 0.938 0.789 0.149
9 In 0.084 0.584 0.500
10 In 0.153 0.000 0.153
11 In 0.847 0.000 0.847
12 In 0.916 0.416 0.500
13 Cu 0.307 0.807 0.500
14 Cu 0.500 0.000 0.500
15 Cu 0.693 0.193 0.500
16 N 0.154 0.806 0.349
17 N 0.457 0.806 0.651
18 N 0.500 0.500 0.000
19 N 0.543 0.194 0.349
20 N 0.846 0.194 0.651

***

Diffraction record for Na2Sc2In2CuPd. The X-ray powder pattern is theoretical, not measured: it uses a cell relaxed with GGA-PBE and Cu Kα.

Peak list (8 most intense, 15 to 90 degrees two-theta, by angle)
two_theta	I_rel
22.8	44.8
37.7	100.0
37.8	49.7
44.6	15.5
54.5	16.3
68.0	16.0
68.2	32.0
80.5	9.8

Cell and atoms:
Cell lengths 4.759, 4.759, 6.765 Å; angles 90.00, 90.00, 90.00 degrees
Atoms (fractional coordinates):
1 Na 0.000 0.000 0.000
2 Na 0.500 0.500 0.500
3 Sc 0.000 0.500 0.749
4 Sc 0.500 0.000 0.251
5 In 0.000 0.500 0.244
6 In 0.500 0.000 0.756
7 Cu 0.500 0.500 0.000
8 Pd 0.000 0.000 0.500

***

What did the second record say?
Diffraction record for Na2Sc2In2CuPd. The X-ray powder pattern is theoretical, not measured: it uses a cell relaxed with GGA-PBE and Cu Kα.

Peak list (8 most intense, 15 to 90 degrees two-theta, by angle)
two_theta	I_rel
22.8	44.8
37.7	100.0
37.8	49.7
44.6	15.5
54.5	16.3
68.0	16.0
68.2	32.0
80.5	9.8

Cell and atoms:
Cell lengths 4.759, 4.759, 6.765 Å; angles 90.00, 90.00, 90.00 degrees
Atoms (fractional coordinates):
1 Na 0.000 0.000 0.000
2 Na 0.500 0.500 0.500
3 Sc 0.000 0.500 0.749
4 Sc 0.500 0.000 0.251
5 In 0.000 0.500 0.244
6 In 0.500 0.000 0.756
7 Cu 0.500 0.500 0.000
8 Pd 0.000 0.000 0.500